Theoretical PXRD pattern of YGa2 for copper Kα, from the PBE geometry in the Materials Project.

Main lines, in order of rising 2θ (10° ≤ 2θ ≤ 90°):
Position (°2θ)  d (Å)  Rel. int.  h k l
32.72  2.737  100.0  1 0 1
42.89  2.109  48.9  1 1 0
43.80  2.067  15.3  0 0 2
54.97  1.670  22.0  2 0 1
62.97  1.476  30.1  1 1 2
72.14  1.309  18.9  2 1 1

Crystal structure
a = 4.2175 Å, b = 4.2175 Å, c = 4.1340 Å
α = 90.00°, β = 90.00°, γ = 120.00°
Space group P6/mmm (No. 191)
One atom of each set of equivalent atoms:
Y 0.0000 0.0000 0.0000 (multiplicity 1)
Ga 0.3333 0.6667 0.5000 (multiplicity 2)